(1)
Starting from the PBE geometry in Alexandria, the X-ray powder pattern of AlC3NCl3 was calculated for Cu Kα (λ = 1.5418 Å).
Peak positions follow from Bragg's law for the DFT cell and can differ from measured ones.

Main lines, low angle first (2θ = 5–70°):
- 2θ = 12.5°, I 100
- 2θ = 18.4°, I 16
- 2θ = 18.4°, I 22
- 2θ = 25.2°, I 41
- 2θ = 27.3°, I 15
- 2θ = 29.0°, I 39
- 2θ = 29.9°, I 31
- 2θ = 32.0°, I 13
- 2θ = 37.2°, I 23
- 2θ = 38.8°, I 16

Structure:
```
data_AlC3NCl3
_space_group_name_H-M_alt 'P 1 21/m 1'
_space_group_IT_number 11
_cell_length_a 7.0789
_cell_length_b 6.5942
_cell_length_c 7.1180
_cell_angle_alpha 90.00
_cell_angle_beta 93.85
_cell_angle_gamma 90.00
loop_
_space_group_symop_operation_xyz
'x,y,z'
'-x,-y,-z'
'-x,y+1/2,-z'
'x,-y+1/2,z'
loop_
_atom_site_label
_atom_site_fract_x
_atom_site_fract_y
_atom_site_fract_z
_atom_site_occupancy
Al1 0.0796 0.2500 0.0222 1
C1 0.3592 0.2500 0.0980 1
C2 0.4894 0.1038 0.0036 1
N1 0.4092 0.7500 0.0820 1
Cl1 0.0393 0.0014 0.7877 1
Cl2 0.3902 0.2500 0.3510 1
```

***

(2)
Starting from the PBE geometry in Alexandria, the X-ray powder pattern of AlC3NCl3 was calculated for Cu Kα (λ = 1.5418 Å).
Peak positions follow from Bragg's law for the DFT cell and can differ from measured ones.

Main lines, low angle first (2θ = 5–70°):
- 2θ = 12.8°, I 100
- 2θ = 15.1°, I 22
- 2θ = 18.6°, I 18
- 2θ = 20.3°, I 21
- 2θ = 26.6°, I 84
- 2θ = 30.2°, I 50
- 2θ = 33.4°, I 14
- 2θ = 37.0°, I 28
- 2θ = 37.6°, I 21
- 2θ = 49.2°, I 16

Structure:
```
data_AlC3NCl3
_space_group_name_H-M_alt 'P 1 21/m 1'
_space_group_IT_number 11
_cell_length_a 7.0915
_cell_length_b 6.5957
_cell_length_c 7.3385
_cell_angle_alpha 90.00
_cell_angle_beta 108.97
_cell_angle_gamma 90.00
loop_
_space_group_symop_operation_xyz
'x,y,z'
'-x,-y,-z'
'-x,y+1/2,-z'
'x,-y+1/2,z'
loop_
_atom_site_label
_atom_site_fract_x
_atom_site_fract_y
_atom_site_fract_z
_atom_site_occupancy
Al1 0.0862 0.2500 0.0224 1
C1 0.3862 0.2500 0.0997 1
C2 0.4902 0.1038 0.0033 1
N1 0.4323 0.7500 0.0843 1
Cl1 0.0204 0.5013 0.2174 1
Cl2 0.4851 0.2500 0.3585 1
```

***

(3)
Starting from the PBE geometry in Alexandria, the X-ray powder pattern of AlC3N3Cl6 was calculated for Cu Kα (λ = 1.5418 Å).
Peak positions follow from Bragg's law for the DFT cell and can differ from measured ones.

Main lines, low angle first (2θ = 5–70°):
- 2θ = 11.0°, I 30
- 2θ = 12.8°, I 66
- 2θ = 18.0°, I 99
- 2θ = 24.7°, I 39
- 2θ = 25.1°, I 34
- 2θ = 25.3°, I 35
- 2θ = 27.2°, I 100
- 2θ = 27.3°, I 65
- 2θ = 28.5°, I 55
- 2θ = 28.8°, I 34

Structure:
```
data_AlC3N3Cl6
_space_group_name_H-M_alt 'P -1'
_space_group_IT_number 2
_cell_length_a 7.6414
_cell_length_b 10.2385
_cell_length_c 16.7283
_cell_angle_alpha 74.15
_cell_angle_beta 89.90
_cell_angle_gamma 88.20
loop_
_space_group_symop_operation_xyz
'x,y,z'
'-x,-y,-z'
loop_
_atom_site_label
_atom_site_fract_x
_atom_site_fract_y
_atom_site_fract_z
_atom_site_occupancy
Al1 0.0482 0.1717 0.3543 1
Al2 0.4480 0.8203 0.9164 1
C1 0.0019 0.7134 0.4963 1
C2 0.2415 0.3050 0.8318 1
C3 0.2449 0.2904 0.9680 1
C4 0.2577 0.7125 0.5662 1
C5 0.2596 0.6913 0.4361 1
C6 0.5003 0.2911 0.8971 1
N1 0.0812 0.7414 0.5627 1
N2 0.0849 0.6902 0.4319 1
N3 0.1502 0.3081 0.8995 1
N4 0.3513 0.6899 0.5043 1
N5 0.4158 0.3090 0.8258 1
N6 0.4220 0.2642 0.9733 1
Cl1 0.1263 0.3491 0.2637 1
Cl2 0.1272 0.3017 0.7457 1
Cl3 0.1279 0.9569 0.6829 1
Cl4 0.1408 0.3072 0.0538 1
Cl5 0.2183 0.3006 0.5019 1
Cl6 0.2411 0.9488 0.9409 1
Cl7 0.2564 0.0445 0.4216 1
Cl8 0.2808 0.6910 0.1071 1
Cl9 0.3630 0.6976 0.6570 1
Cl10 0.3669 0.6450 0.8826 1
Cl11 0.3728 0.6870 0.3497 1
Cl12 0.3795 0.0507 0.1667 1
```

***

(4)
Starting from the PBE geometry in Alexandria, the X-ray powder pattern of AlC5NCl was calculated for Cu Kα (λ = 1.5418 Å).
Peak positions follow from Bragg's law for the DFT cell and can differ from measured ones.

Main lines, low angle first (2θ = 5–70°):
- 2θ = 12.8°, I 62
- 2θ = 19.2°, I 100
- 2θ = 20.6°, I 16
- 2θ = 25.7°, I 32
- 2θ = 27.2°, I 14
- 2θ = 28.8°, I 45
- 2θ = 31.6°, I 17
- 2θ = 33.1°, I 26
- 2θ = 33.4°, I 23
- 2θ = 41.7°, I 15

Structure:
```
data_AlC5NCl
_space_group_name_H-M_alt 'P 1 21/m 1'
_space_group_IT_number 11
_cell_length_a 6.1336
_cell_length_b 6.1913
_cell_length_c 7.0600
_cell_angle_alpha 90.00
_cell_angle_beta 100.66
_cell_angle_gamma 90.00
loop_
_space_group_symop_operation_xyz
'x,y,z'
'-x,-y,-z'
'-x,y+1/2,-z'
'x,-y+1/2,z'
loop_
_atom_site_label
_atom_site_fract_x
_atom_site_fract_y
_atom_site_fract_z
_atom_site_occupancy
Al1 0.0120 0.2500 0.2920 1
C1 0.2583 0.1352 0.1763 1
C2 0.3147 0.7500 0.7783 1
C3 0.4982 0.6143 0.7399 1
N1 0.4095 0.7500 0.5756 1
Cl1 0.1067 0.2500 0.6058 1
```

***

(5)
Starting from the PBE geometry in Alexandria, the X-ray powder pattern of AlCuC was calculated for Cu Kα (λ = 1.5418 Å).
Peak positions follow from Bragg's law for the DFT cell and can differ from measured ones.

Main lines, low angle first (2θ = 5–70°):
- 2θ = 18.4°, I 45
- 2θ = 32.6°, I 25
- 2θ = 34.9°, I 54
- 2θ = 37.2°, I 49
- 2θ = 37.7°, I 100
- 2θ = 39.7°, I 22
- 2θ = 51.9°, I 47
- 2θ = 52.3°, I 88
- 2θ = 62.6°, I 11
- 2θ = 67.4°, I 21

Structure:
```
data_AlCuC
_space_group_name_H-M_alt 'C m m e'
_space_group_IT_number 67
_space_group_name_Hall '-C 2a 2'
_cell_length_a 5.1478
_cell_length_b 5.4945
_cell_length_c 4.8332
_cell_angle_alpha 90.00
_cell_angle_beta 90.00
_cell_angle_gamma 90.00
loop_
_atom_site_label
_atom_site_fract_x
_atom_site_fract_y
_atom_site_fract_z
_atom_site_occupancy
Al1 0.2500 0.0000 0.0000 1
Cu1 0.2500 0.2500 0.5000 1
C1 0.0000 0.2500 0.1808 1
```

***

(6)
Starting from the PBE geometry in Alexandria, the X-ray powder pattern of AlCuC was calculated for Cu Kα (λ = 1.5418 Å).
Peak positions follow from Bragg's law for the DFT cell and can differ from measured ones.

Main lines, low angle first (2θ = 5–70°):
- 2θ = 19.1°, I 30
- 2θ = 27.6°, I 100
- 2θ = 36.1°, I 23
- 2θ = 38.8°, I 29
- 2θ = 39.1°, I 35
- 2θ = 41.2°, I 34
- 2θ = 46.1°, I 37
- 2θ = 53.2°, I 16
- 2θ = 54.1°, I 19
- 2θ = 54.3°, I 35

Structure:
```
data_AlCuC
_space_group_name_H-M_alt 'P 1 21 1'
_space_group_IT_number 4
_cell_length_a 3.4465
_cell_length_b 4.9744
_cell_length_c 4.9472
_cell_angle_alpha 90.00
_cell_angle_beta 110.30
_cell_angle_gamma 90.00
loop_
_space_group_symop_operation_xyz
'x,y,z'
'-x,y+1/2,-z'
loop_
_atom_site_label
_atom_site_fract_x
_atom_site_fract_y
_atom_site_fract_z
_atom_site_occupancy
Al1 0.2301 0.0000 0.4604 1
Cu1 0.4936 0.6072 0.9880 1
C1 0.3370 0.3465 0.6743 1
```

***

> Number 1 is which compound?

AlC3NCl3

***

Please write out number 5 again, unchanged.
Starting from the PBE geometry in Alexandria, the X-ray powder pattern of AlCuC was calculated for Cu Kα (λ = 1.5418 Å).
Peak positions follow from Bragg's law for the DFT cell and can differ from measured ones.

Main lines, low angle first (2θ = 5–70°):
- 2θ = 18.4°, I 45
- 2θ = 32.6°, I 25
- 2θ = 34.9°, I 54
- 2θ = 37.2°, I 49
- 2θ = 37.7°, I 100
- 2θ = 39.7°, I 22
- 2θ = 51.9°, I 47
- 2θ = 52.3°, I 88
- 2θ = 62.6°, I 11
- 2θ = 67.4°, I 21

Structure:
```
data_AlCuC
_space_group_name_H-M_alt 'C m m e'
_space_group_IT_number 67
_space_group_name_Hall '-C 2a 2'
_cell_length_a 5.1478
_cell_length_b 5.4945
_cell_length_c 4.8332
_cell_angle_alpha 90.00
_cell_angle_beta 90.00
_cell_angle_gamma 90.00
loop_
_atom_site_label
_atom_site_fract_x
_atom_site_fract_y
_atom_site_fract_z
_atom_site_occupancy
Al1 0.2500 0.0000 0.0000 1
Cu1 0.2500 0.2500 0.5000 1
C1 0.0000 0.2500 0.1808 1
```

***

> Which formula does entry 2 have?

AlC3NCl3